[1]
For DyAl4Ag, a cell relaxed with GGA-PBE gives the computed powder diffractogram in this record (Cu Kα, 1.54184 Å).
No peak broadening, texture or thermal motion is included.

Principal peaks in the range 10° ≤ 2θ ≤ 90°, by angle:
2θ = 18.6°, I 479; 2θ = 27.4°, I 1000; 2θ = 34.3°, I 300; 2θ = 38.4°, I 483; 2θ = 38.5°, I 480; 2θ = 39.1°, I 262; 2θ = 39.3°, I 182; 2θ = 53.0°, I 170; 2θ = 57.4°, I 150; 2θ = 70.4°, I 157

Structure:
Cell: 10.1667 10.1667 5.2245 Å, 104.75 104.75 26.19°
Fractional coordinates of all 12 atoms:
Dy (0.2494, 0.2494, 0.2649)
Dy (0.7506, 0.7506, 0.7351)
Al (0.0788, 0.0788, 0.1445)
Al (0.1467, 0.1467, 0.7129)
Al (0.3537, 0.3537, 0.9254)
Al (0.4201, 0.4201, 0.4919)
Al (0.5799, 0.5799, 0.5081)
Al (0.6463, 0.6463, 0.0746)
Al (0.8533, 0.8533, 0.2871)
Al (0.9212, 0.9212, 0.8555)
Ag (0.0000, 0.0000, 0.5000)
Ag (0.5000, 0.5000, 0.0000)


[2]
For Y2Cd2Ag, a cell relaxed with GGA-PBE gives the computed powder diffractogram in this record (Cu Kα, 1.54184 Å).
No peak broadening, texture or thermal motion is included.

Principal peaks in the range 10° ≤ 2θ ≤ 90°, by angle:
2θ = 19.5°, I 127; 2θ = 30.9°, I 202; 2θ = 33.2°, I 1000; 2θ = 38.0°, I 393; 2θ = 39.5°, I 224; 2θ = 43.0°, I 113; 2θ = 54.3°, I 82; 2θ = 56.0°, I 243; 2θ = 67.7°, I 118; 2θ = 70.8°, I 123

Structure:
Cell: 7.4918 7.4918 4.5617 Å, 90.00 90.00 90.00°
Fractional coordinates of all 10 atoms:
Y (0.1678, 0.3322, 0.0000)
Y (0.3322, 0.8322, 0.0000)
Y (0.6678, 0.1678, 0.0000)
Y (0.8322, 0.6678, 0.0000)
Cd (0.1350, 0.6350, 0.5000)
Cd (0.3650, 0.1350, 0.5000)
Cd (0.6350, 0.8650, 0.5000)
Cd (0.8650, 0.3650, 0.5000)
Ag (0.0000, 0.0000, 0.5000)
Ag (0.5000, 0.5000, 0.5000)


[3]
For K2Na3Tl2, a cell relaxed with GGA-PBE gives the computed powder diffractogram in this record (Cu Kα, 1.54184 Å).
No peak broadening, texture or thermal motion is included.

Principal peaks in the range 10° ≤ 2θ ≤ 90°, by angle:
2θ = 14.3°, I 1000; 2θ = 15.3°, I 488; 2θ = 15.8°, I 621; 2θ = 19.8°, I 684; 2θ = 20.8°, I 612; 2θ = 28.3°, I 710; 2θ = 30.5°, I 538; 2θ = 30.9°, I 497; 2θ = 31.2°, I 479; 2θ = 32.2°, I 504

Structure:
Cell: 6.3102 6.3247 7.2938 Å, 112.84 99.83 92.16°
Fractional coordinates of all 7 atoms:
K (0.1983, 0.3960, 0.3062)
K (0.8017, 0.6040, 0.6938)
Na (0.3399, 0.7408, 0.9810)
Na (0.5000, 0.0000, 0.5000)
Na (0.6601, 0.2592, 0.0190)
Tl (0.1003, 0.1315, 0.7380)
Tl (0.8997, 0.8685, 0.2620)


[4]
For Mg9Si5, a cell relaxed with GGA-PBE gives the computed powder diffractogram in this record (Cu Kα, 1.54184 Å).
No peak broadening, texture or thermal motion is included.

Principal peaks in the range 10° ≤ 2θ ≤ 90°, by angle:
2θ = 24.7°, I 142; 2θ = 32.8°, I 581; 2θ = 32.9°, I 597; 2θ = 33.2°, I 195; 2θ = 38.4°, I 371; 2θ = 39.0°, I 138; 2θ = 39.2°, I 131; 2θ = 39.3°, I 186; 2θ = 43.5°, I 1000; 2θ = 63.2°, I 131

Structure:
Cell: 7.2100 7.2102 13.1317 Å, 90.20 105.57 119.96°
Fractional coordinates of all 28 atoms:
Mg (0.0000, 0.0000, 0.0000)
Mg (0.0025, 0.3350, 0.1690)
Mg (0.0271, 0.5264, 0.6899)
Mg (0.1664, 0.0617, 0.3311)
Mg (0.2045, 0.6383, 0.0004)
Mg (0.2517, 0.9732, 0.8432)
Mg (0.3464, 0.5183, 0.4937)
Mg (0.3905, 0.2994, 0.6895)
Mg (0.4249, 0.8037, 0.3309)
Mg (0.4717, 0.1034, 0.1696)
Mg (0.5082, 0.7100, 0.8416)
Mg (0.6164, 0.2670, 0.4901)
Mg (0.6396, 0.4354, 0.0005)
Mg (0.7042, 0.8034, 0.1703)
Mg (0.7704, 0.2318, 0.8420)
Mg (0.8079, 0.9373, 0.6908)
Mg (0.8594, 0.7893, 0.4882)
Mg (0.9115, 0.5428, 0.3318)
Si (0.0578, 0.7469, 0.1665)
Si (0.1790, 0.3062, 0.8460)
Si (0.2724, 0.8577, 0.4916)
Si (0.3586, 0.3967, 0.1176)
Si (0.4048, 0.9183, 0.6821)
Si (0.4933, 0.4657, 0.3190)
Si (0.6180, 0.0253, 0.0056)
Si (0.8356, 0.1363, 0.3349)
Si (0.8414, 0.6374, 0.8384)
Si (0.9720, 0.2065, 0.5364)


[5]
For DyTm3Ir2, a cell relaxed with GGA-PBE gives the computed powder diffractogram in this record (Cu Kα, 1.54184 Å).
No peak broadening, texture or thermal motion is included.

Principal peaks in the range 10° ≤ 2θ ≤ 90°, by angle:
2θ = 22.7°, I 1000; 2θ = 29.7°, I 224; 2θ = 35.3°, I 625; 2θ = 37.1°, I 497; 2θ = 37.3°, I 497; 2θ = 37.9°, I 941; 2θ = 39.7°, I 260; 2θ = 52.6°, I 220; 2θ = 66.6°, I 364; 2θ = 70.0°, I 210

Structure:
Cell: 8.2927 8.2927 8.2927 Å, 132.42 71.20 130.37°
Fractional coordinates of all 12 atoms:
Dy (0.0000, 0.0000, 0.0000)
Dy (0.5000, 0.5000, 0.0000)
Tm (0.0151, 0.2500, 0.7651)
Tm (0.2500, 0.7500, 0.5000)
Tm (0.4849, 0.2500, 0.2349)
Tm (0.5151, 0.7500, 0.7651)
Tm (0.7500, 0.2500, 0.5000)
Tm (0.9849, 0.7500, 0.2349)
Ir (0.1386, 0.7120, 0.8506)
Ir (0.3614, 0.2120, 0.5734)
Ir (0.6386, 0.7880, 0.4266)
Ir (0.8614, 0.2880, 0.1494)


[6]
For La2Co2P2N, a cell relaxed with GGA-PBE gives the computed powder diffractogram in this record (Cu Kα, 1.54184 Å).
No peak broadening, texture or thermal motion is included.

Principal peaks in the range 10° ≤ 2θ ≤ 90°, by angle:
2θ = 25.5°, I 539; 2θ = 26.2°, I 295; 2θ = 31.5°, I 411; 2θ = 33.0°, I 730; 2θ = 33.8°, I 304; 2θ = 34.0°, I 580; 2θ = 36.4°, I 1000; 2θ = 37.3°, I 240; 2θ = 38.0°, I 502; 2θ = 48.1°, I 329

Structure:
Cell: 5.8462 5.8462 6.8170 Å, 122.34 122.34 37.72°
Fractional coordinates of all 7 atoms:
La (0.0541, 0.0541, 0.2936)
La (0.9459, 0.9459, 0.7064)
Co (0.3032, 0.3032, 0.9203)
Co (0.6968, 0.6968, 0.0797)
P (0.3102, 0.3102, 0.2591)
P (0.6898, 0.6898, 0.7409)
N (0.5000, 0.5000, 0.0000)


[7]
For Fe2AsHBr, a cell relaxed with GGA-PBE gives the computed powder diffractogram in this record (Cu Kα, 1.54184 Å).
No peak broadening, texture or thermal motion is included.

Principal peaks in the range 10° ≤ 2θ ≤ 90°, by angle:
2θ = 25.1°, I 226; 2θ = 31.3°, I 1000; 2θ = 36.5°, I 405; 2θ = 37.2°, I 969; 2θ = 45.4°, I 174; 2θ = 49.4°, I 546; 2θ = 51.6°, I 182; 2θ = 53.7°, I 320; 2θ = 65.3°, I 344; 2θ = 77.6°, I 206

Structure:
Cell: 4.8289 4.8289 3.5453 Å, 90.00 90.00 90.00°
Fractional coordinates of all 5 atoms:
Fe (0.0000, 0.5000, 0.0000)
Fe (0.5000, 0.0000, 0.0000)
As (0.0000, 0.0000, 0.0000)
H (0.0000, 0.0000, 0.5000)
Br (0.5000, 0.5000, 0.5000)


[8]
For NaPrSm4Se8, a cell relaxed with GGA-PBE gives the computed powder diffractogram in this record (Cu Kα, 1.54184 Å).
No peak broadening, texture or thermal motion is included.

Principal peaks in the range 10° ≤ 2θ ≤ 90°, by angle:
2θ = 12.5°, I 340; 2θ = 24.0°, I 241; 2θ = 24.1°, I 748; 2θ = 29.2°, I 1000; 2θ = 38.2°, I 429; 2θ = 41.6°, I 653; 2θ = 41.8°, I 652; 2θ = 51.8°, I 186; 2θ = 60.5°, I 204; 2θ = 76.2°, I 198

Structure:
Cell: 8.6885 8.6885 8.6885 Å, 59.59 59.59 59.59°
Fractional coordinates of all 14 atoms:
Na (0.0000, 0.0000, 0.0000)
Pr (0.6305, 0.6305, 0.6305)
Sm (0.1125, 0.6307, 0.6307)
Sm (0.2518, 0.2518, 0.2518)
Sm (0.6307, 0.1125, 0.6307)
Sm (0.6307, 0.6307, 0.1125)
Se (0.3814, 0.3814, 0.8535)
Se (0.3814, 0.8535, 0.3814)
Se (0.3844, 0.3844, 0.3844)
Se (0.4041, 0.8695, 0.8695)
Se (0.8535, 0.3814, 0.3814)
Se (0.8660, 0.8660, 0.8660)
Se (0.8695, 0.4041, 0.8695)
Se (0.8695, 0.8695, 0.4041)